The following is a theoretical powder diffractogram of ThTaFe2H8. It was derived from a structure optimized by DFT (GGA-PBE), using Cu Kα (weighted mean of Kα1 and Kα2).
Neutral-atom scattering factors, no anomalous dispersion.

Main lines, in order of rising 2θ (10 to 90 degrees two-theta):
| 2θ (°) | I/Imax |
| --- | --- |
| 25.5 | 65 |
| 32.0 | 100 |
| 33.2 | 18 |
| 40.3 | 64 |
| 50.9 | 18 |
| 52.4 | 25 |
| 53.2 | 30 |
| 68.1 | 23 |

Cell and atoms:
abc: 5.980 5.980 5.980
angles: 43.91 43.91 43.91
Atoms (fractional coordinates):
Th  0.000  0.000  0.000
Ta  0.500  0.500  0.500
Fe  0.215  0.215  0.215
Fe  0.785  0.785  0.785
H  0.106  0.556  0.556
H  0.313  0.313  0.313
H  0.444  0.444  0.894
H  0.444  0.894  0.444
H  0.556  0.106  0.556
H  0.556  0.556  0.106
H  0.687  0.687  0.687
H  0.894  0.444  0.444